Entry 1:
Structure and computed X-ray powder pattern of CaP2H8C2O6 (a DFT-relaxed cell (GGA-PBE, Alexandria); a wavelength of 1.5418 Å).

Principal peaks in the range 15 to 90 degrees two-theta, in order of falling intensity:
Position (°2θ)	I/Imax
26.25	1000
26.55	921
27.00	805
32.97	716
27.14	629
21.41	609
19.71	604
31.10	593
20.38	562
17.72	505

Cell and atoms:
a b c (Å): 10.8878 10.8878 7.2487
angles (deg): 106.98 106.98 30.64
Positions (direct):
Ca (0.1391, 0.8609, 0.7500)
Ca (0.8609, 0.1391, 0.2500)
P (0.2204, 0.5793, 0.0551)
P (0.4207, 0.7796, 0.4449)
P (0.5793, 0.2204, 0.5551)
P (0.7796, 0.4207, 0.9449)
H (0.0958, 0.2894, 0.1336)
H (0.1494, 0.5073, 0.7260)
H (0.1734, 0.3925, 0.8928)
H (0.2063, 0.5938, 0.3700)
H (0.2894, 0.0958, 0.6336)
H (0.3925, 0.1734, 0.3928)
H (0.4062, 0.7937, 0.1300)
H (0.4927, 0.8506, 0.7740)
H (0.5073, 0.1494, 0.2260)
H (0.5938, 0.2063, 0.8700)
H (0.6075, 0.8266, 0.6072)
H (0.7106, 0.9042, 0.3664)
H (0.7937, 0.4062, 0.6300)
H (0.8266, 0.6075, 0.1072)
H (0.8506, 0.4927, 0.2740)
H (0.9042, 0.7106, 0.8664)
C (0.1018, 0.5420, 0.8669)
C (0.4580, 0.8982, 0.6331)
C (0.5420, 0.1018, 0.3669)
C (0.8982, 0.4580, 0.1331)
O (0.1058, 0.6606, 0.2399)
O (0.1190, 0.7882, 0.0165)
O (0.2118, 0.8810, 0.4835)
O (0.3383, 0.4986, 0.5771)
O (0.3394, 0.8942, 0.2601)
O (0.4986, 0.3383, 0.0771)
O (0.5014, 0.6617, 0.9229)
O (0.6606, 0.1058, 0.7399)
O (0.6617, 0.5014, 0.4229)
O (0.7882, 0.1190, 0.5165)
O (0.8810, 0.2118, 0.9835)
O (0.8942, 0.3394, 0.7601)

Entry 2:
Structure and computed X-ray powder pattern of Ba2AlPPt6 (a DFT-relaxed cell (GGA-PBE, Alexandria); a wavelength of 1.5418 Å).

Principal peaks in the range 15 to 90 degrees two-theta, in order of falling intensity:
Position (°2θ)	I/Imax
33.05	1000
30.37	560
15.48	424
37.83	420
42.18	321
50.51	287
31.30	252
55.70	224
58.20	192
40.01	191

Cell and atoms:
a b c (Å): 6.5984 6.5984 6.8798
angles (deg): 118.74 118.74 59.95
Positions (direct):
Ba (0.2094, 0.2094, 0.1282)
Ba (0.7906, 0.7906, 0.8718)
Al (0.5000, 0.5000, 0.0000)
P (0.0000, 0.0000, 0.5000)
Pt (0.2452, 0.2452, 0.6491)
Pt (0.2455, 0.6594, 0.6498)
Pt (0.3406, 0.7545, 0.3502)
Pt (0.6594, 0.2455, 0.6498)
Pt (0.7545, 0.3406, 0.3502)
Pt (0.7548, 0.7548, 0.3509)

Entry 3:
Structure and computed X-ray powder pattern of Dy3Ho9Th2 (a DFT-relaxed cell (GGA-PBE, Alexandria); a wavelength of 1.5418 Å).

Principal peaks in the range 15 to 90 degrees two-theta, in order of falling intensity:
Position (°2θ)	I/Imax
32.23	1000
33.91	554
31.81	518
31.02	384
45.03	279
29.88	265
56.94	201
62.04	175
29.26	165
63.34	155

Cell and atoms:
a b c (Å): 9.5938 9.5938 9.5938
angles (deg): 145.90 112.97 77.39
Positions (direct):
Dy (0.0000, 0.0000, 0.0000)
Dy (0.1933, 0.5000, 0.6933)
Dy (0.8067, 0.5000, 0.3067)
Ho (0.1187, 0.2801, 0.8385)
Ho (0.2372, 0.8969, 0.3402)
Ho (0.4416, 0.2801, 0.1615)
Ho (0.4433, 0.1031, 0.3402)
Ho (0.5000, 0.5000, 0.0000)
Ho (0.5567, 0.8969, 0.6598)
Ho (0.5584, 0.7199, 0.8385)
Ho (0.7628, 0.1031, 0.6598)
Ho (0.8813, 0.7199, 0.1615)
Th (0.1856, 0.6856, 0.5000)
Th (0.8144, 0.3144, 0.5000)

Entry 4:
Structure and computed X-ray powder pattern of Na2DyInSe4 (a DFT-relaxed cell (GGA-PBE, Alexandria); a wavelength of 1.5418 Å).

Principal peaks in the range 15 to 90 degrees two-theta, in order of falling intensity:
Position (°2θ)	I/Imax
30.43	1000
30.25	516
42.62	378
44.24	359
54.65	280
42.73	180
44.39	179
25.53	158
70.61	153
39.24	144

Cell and atoms:
a b c (Å): 7.0998 4.0816 7.4531
angles (deg): 90.00 108.81 90.00
Positions (direct):
Na (0.0000, 0.0000, 0.0000)
Na (0.5000, 0.5000, 0.0000)
Dy (0.0000, 0.5000, 0.5000)
In (0.5000, 0.0000, 0.5000)
Se (0.2442, 0.0000, 0.7311)
Se (0.2683, 0.5000, 0.2774)
Se (0.7317, 0.5000, 0.7226)
Se (0.7558, 0.0000, 0.2689)

Entry 5:
Structure and computed X-ray powder pattern of BaCaGa4 (a DFT-relaxed cell (GGA-PBE, Alexandria); a wavelength of 1.5418 Å).

Principal peaks in the range 15 to 90 degrees two-theta, in order of falling intensity:
Position (°2θ)	I/Imax
31.50	1000
31.87	781
39.80	533
35.85	501
37.68	482
52.98	319
32.34	312
16.01	291
62.67	272
66.59	208

Cell and atoms:
a b c (Å): 4.7748 7.9453 7.7185
angles (deg): 90.00 90.00 90.00
Positions (direct):
Ba (0.0000, 0.0000, 0.0000)
Ba (0.5000, 0.5000, 0.5000)
Ca (0.0000, 0.5000, 0.0966)
Ca (0.5000, 0.0000, 0.5966)
Ga (0.0000, 0.1793, 0.4110)
Ga (0.0000, 0.3239, 0.7295)
Ga (0.0000, 0.6761, 0.7295)
Ga (0.0000, 0.8207, 0.4110)
Ga (0.5000, 0.1761, 0.2295)
Ga (0.5000, 0.3207, 0.9110)
Ga (0.5000, 0.6793, 0.9110)
Ga (0.5000, 0.8239, 0.2295)

Entry 6:
Structure and computed X-ray powder pattern of Dy2Y3Er9 (a DFT-relaxed cell (GGA-PBE, Alexandria); a wavelength of 1.5418 Å).

Principal peaks in the range 15 to 90 degrees two-theta, in order of falling intensity:
Position (°2θ)	I/Imax
31.66	1000
32.27	368
35.12	275
33.31	234
31.44	196
33.76	191
52.69	103
62.41	78
41.82	77
59.24	76

Cell and atoms:
a b c (Å): 6.1889 8.6154 8.6976
angles (deg): 80.04 77.27 87.92
Positions (direct):
Dy (0.0503, 0.0325, 0.3004)
Dy (0.9497, 0.9675, 0.6996)
Y (0.2533, 0.6234, 0.7276)
Y (0.5000, 0.0000, 0.0000)
Y (0.7467, 0.3766, 0.2724)
Er (0.0055, 0.7551, 0.0853)
Er (0.1554, 0.3330, 0.5048)
Er (0.3036, 0.3872, 0.1015)
Er (0.4090, 0.6878, 0.3030)
Er (0.5000, 0.0000, 0.5000)
Er (0.5910, 0.3122, 0.6970)
Er (0.6964, 0.6128, 0.8985)
Er (0.8446, 0.6670, 0.4952)
Er (0.9945, 0.2449, 0.9147)